# 1
Theoretical X-ray powder pattern
Compound: Hf4TiTe2
Radiation: Cu Kα, 1.54184 Å
Structure: the GGA-PBE geometry in Alexandria
Intensities are scaled so that the largest is 100.

```
data_Hf4TiTe2
_cell_length_a 4.813
_cell_length_b 4.813
_cell_length_c 15.007
_cell_angle_alpha 90.00
_cell_angle_beta 90.00
_cell_angle_gamma 90.00
_space_group_name_H-M_alt 'I 4/m m m'
_space_group_IT_number 139
_space_group_name_Hall '-I 4 2'
loop_
_atom_site_label
_atom_site_type_symbol
_atom_site_fract_x
_atom_site_fract_y
_atom_site_fract_z
Hf1 Hf 0.000 0.000 0.173
Hf2 Hf 0.000 0.500 0.000
Ti1 Ti 0.000 0.000 0.000
Te1 Te 0.000 0.000 0.362
```

Largest 10 diffraction maxima, sorted by position, 15° ≤ 2θ ≤ 90°:
hkl 1 1 2, 28.80 deg, rel. 100.0; hkl 1 0 5, 35.24 deg, rel. 27.7; hkl 1 1 4, 35.62 deg, rel. 84.5; hkl 0 0 6, 35.90 deg, rel. 34.8; hkl 2 0 0, 37.37 deg, rel. 84.5; hkl 2 0 6, 52.79 deg, rel. 46.3; hkl 2 2 0, 53.88 deg, rel. 29.5; hkl 3 1 2, 62.24 deg, rel. 23.4; hkl 3 1 4, 66.27 deg, rel. 28.2; hkl 2 2 6, 66.45 deg, rel. 23.1

***

# 2
Theoretical X-ray powder pattern
Compound: Tb5Tl2Zn2
Radiation: Cu Kα, 1.54184 Å
Structure: the GGA-PBE geometry in Alexandria
Intensities are scaled so that the largest is 100.

```
data_Tb5Tl2Zn2
_cell_length_a 16.939
_cell_length_b 7.600
_cell_length_c 7.581
_cell_angle_alpha 90.00
_cell_angle_beta 90.00
_cell_angle_gamma 90.00
_space_group_name_H-M_alt 'C m c e'
_space_group_IT_number 64
_space_group_name_Hall '-C 2ac 2'
loop_
_atom_site_label
_atom_site_type_symbol
_atom_site_fract_x
_atom_site_fract_y
_atom_site_fract_z
Tb1 Tb 0.000 0.000 0.000
Tb2 Tb 0.130 0.188 0.321
Tl1 Tl 0.226 0.000 0.000
Zn1 Zn 0.000 0.117 0.619
```

Largest 10 diffraction maxima, sorted by position, 15° ≤ 2θ ≤ 90°:
hkl 3 1 2, 30.75 deg, rel. 25.5; hkl 5 1 1, 31.22 deg, rel. 21.3; hkl 4 2 0, 31.66 deg, rel. 100.0; hkl 0 2 2, 33.39 deg, rel. 36.1; hkl 4 2 1, 33.83 deg, rel. 24.3; hkl 1 3 1, 37.85 deg, rel. 29.6; hkl 8 0 0, 42.70 deg, rel. 14.4; hkl 5 1 3, 46.36 deg, rel. 10.5; hkl 5 3 3, 58.32 deg, rel. 10.8; hkl 9 3 1, 62.73 deg, rel. 19.4

***

# 3
Theoretical X-ray powder pattern
Compound: KLi3Mn4I12
Radiation: Cu Kα, 1.54184 Å
Structure: the GGA-PBE geometry in Alexandria
Intensities are scaled so that the largest is 100.

```
data_KLi3Mn4I12
_cell_length_a 16.0638
_cell_length_b 16.0638
_cell_length_c 11.1439
_cell_angle_alpha 90.00
_cell_angle_beta 90.00
_cell_angle_gamma 120.00
_space_group_name_H-M_alt 'R 3 2'
_space_group_IT_number 155
_space_group_name_Hall 'R 3 2"'
loop_
_atom_site_label
_atom_site_type_symbol
_atom_site_fract_x
_atom_site_fract_y
_atom_site_fract_z
K1 K 0.0000 0.0000 0.0000
Li1 Li 0.0000 0.5622 0.0000
Mn1 Mn 0.0000 0.0000 0.5000
Mn2 Mn 0.0000 0.4324 0.5000
I1 I 0.0000 0.5953 0.5000
I2 I 0.0000 0.8372 0.5000
I3 I 0.0618 0.2282 0.1707
```

Largest 10 diffraction maxima, sorted by position, 15° ≤ 2θ ≤ 90°:
hkl 2 1 1, 18.66 deg, rel. 26.9; hkl 1 2 2, 23.26 deg, rel. 23.6; hkl 0 0 3, 23.96 deg, rel. 67.1; hkl 1 3 1, 24.41 deg, rel. 100.0; hkl 3 1 2, 28.13 deg, rel. 65.5; hkl 0 5 1, 33.19 deg, rel. 19.0; hkl 1 3 4, 39.91 deg, rel. 25.8; hkl 7 0 1, 46.41 deg, rel. 23.1; hkl 0 7 2, 48.64 deg, rel. 23.6; hkl 4 4 3, 51.75 deg, rel. 24.6

***

# 4
Theoretical X-ray powder pattern
Compound: LaScPd6
Radiation: Cu Kα, 1.54184 Å
Structure: the GGA-PBE geometry in Alexandria
Intensities are scaled so that the largest is 100.

```
data_LaScPd6
_cell_length_a 4.160
_cell_length_b 4.160
_cell_length_c 8.100
_cell_angle_alpha 90.00
_cell_angle_beta 90.00
_cell_angle_gamma 90.00
_space_group_name_H-M_alt 'P 4/m m m'
_space_group_IT_number 123
_space_group_name_Hall '-P 4 2'
loop_
_atom_site_label
_atom_site_type_symbol
_atom_site_fract_x
_atom_site_fract_y
_atom_site_fract_z
La1 La 0.000 0.000 0.000
Sc1 Sc 0.000 0.000 0.500
Pd1 Pd 0.000 0.500 0.266
Pd2 Pd 0.500 0.500 0.000
Pd3 Pd 0.500 0.500 0.500
```

Largest 10 diffraction maxima, sorted by position, 15° ≤ 2θ ≤ 90°:
hkl 1 0 1, 24.05 deg, rel. 4.0; hkl 1 1 1, 32.38 deg, rel. 4.2; hkl 1 1 2, 37.80 deg, rel. 100.0; hkl 2 0 0, 43.51 deg, rel. 34.1; hkl 0 0 4, 44.75 deg, rel. 14.4; hkl 2 2 0, 63.22 deg, rel. 11.0; hkl 2 0 4, 64.19 deg, rel. 19.1; hkl 3 1 2, 76.07 deg, rel. 24.7; hkl 1 1 6, 77.85 deg, rel. 9.7; hkl 2 2 4, 80.76 deg, rel. 9.9

***

# 5
Theoretical X-ray powder pattern
Compound: Tb2HoTl2Ag2
Radiation: Cu Kα, 1.54184 Å
Structure: the GGA-PBE geometry in Alexandria
Intensities are scaled so that the largest is 100.

```
data_Tb2HoTl2Ag2
_cell_length_a 4.8732
_cell_length_b 4.8732
_cell_length_c 26.9152
_cell_angle_alpha 90.00
_cell_angle_beta 90.00
_cell_angle_gamma 120.00
_space_group_name_H-M_alt 'R -3 m'
_space_group_IT_number 166
_space_group_name_Hall '-R 3 2"'
loop_
_atom_site_label
_atom_site_type_symbol
_atom_site_fract_x
_atom_site_fract_y
_atom_site_fract_z
Tb1 Tb 0.0000 0.0000 0.1247
Ho1 Ho 0.0000 0.0000 0.0000
Tl1 Tl 0.0000 0.0000 0.2588
Ag1 Ag 0.0000 0.0000 0.3923
```

Largest 10 diffraction maxima, sorted by position, 15° ≤ 2θ ≤ 90°:
hkl 0 0 6, 19.79 deg, rel. 16.5; hkl 1 0 7, 31.48 deg, rel. 34.8; hkl 0 1 8, 34.08 deg, rel. 98.8; hkl 1 1 0, 36.89 deg, rel. 100.0; hkl 1 1 6, 42.21 deg, rel. 14.3; hkl 2 0 8, 51.09 deg, rel. 31.5; hkl 1 1 15, 64.49 deg, rel. 22.6; hkl 1 2 8, 64.67 deg, rel. 31.0; hkl 3 0 0, 66.46 deg, rel. 17.8; hkl 3 1 8, 88.43 deg, rel. 13.8

***

# 6
Theoretical X-ray powder pattern
Compound: Na4Zn2In5
Radiation: Cu Kα, 1.54184 Å
Structure: the GGA-PBE geometry in Alexandria
Intensities are scaled so that the largest is 100.

```
data_Na4Zn2In5
_cell_length_a 7.853
_cell_length_b 3.360
_cell_length_c 10.410
_cell_angle_alpha 90.00
_cell_angle_beta 93.98
_cell_angle_gamma 90.00
_space_group_name_H-M_alt 'P 1 2/m 1'
_space_group_IT_number 10
_space_group_name_Hall '-P 2y'
loop_
_atom_site_label
_atom_site_type_symbol
_atom_site_fract_x
_atom_site_fract_y
_atom_site_fract_z
Na1 Na 0.155 0.000 0.389
Na2 Na 0.283 0.000 0.948
Zn1 Zn 0.051 0.500 0.128
In1 In 0.200 0.500 0.679
In2 In 0.417 0.500 0.206
In3 In 0.500 0.500 0.500
```

Largest 10 diffraction maxima, sorted by position, 15° ≤ 2θ ≤ 90°:
hkl 0 1 0, 26.53 deg, rel. 100.0; hkl 1 1 -2, 33.35 deg, rel. 42.6; hkl 1 1 2, 34.19 deg, rel. 30.1; hkl 3 0 -1, 34.84 deg, rel. 73.8; hkl 1 0 -4, 35.67 deg, rel. 69.5; hkl 2 0 3, 35.80 deg, rel. 79.5; hkl 2 1 1, 36.66 deg, rel. 33.9; hkl 3 1 -1, 44.32 deg, rel. 46.8; hkl 1 1 -4, 45.00 deg, rel. 42.6; hkl 2 1 3, 45.10 deg, rel. 43.9

***

# 7
Theoretical X-ray powder pattern
Compound: Sc6AsP2Se3
Radiation: Cu Kα, 1.54184 Å
Structure: the GGA-PBE geometry in Alexandria
Intensities are scaled so that the largest is 100.

```
data_Sc6AsP2Se3
_cell_length_a 16.811
_cell_length_b 3.818
_cell_length_c 7.714
_cell_angle_alpha 90.00
_cell_angle_beta 104.13
_cell_angle_gamma 90.00
_space_group_name_H-M_alt 'C 1 2/m 1'
_space_group_IT_number 12
_space_group_name_Hall '-C 2y'
loop_
_atom_site_label
_atom_site_type_symbol
_atom_site_fract_x
_atom_site_fract_y
_atom_site_fract_z
Sc1 Sc 0.007 0.000 0.247
Sc2 Sc 0.166 0.500 0.102
Sc3 Sc 0.173 0.500 0.571
As1 As 0.000 0.500 0.000
P1 P 0.167 0.000 0.335
Se1 Se 0.000 0.500 0.500
Se2 Se 0.165 0.000 0.834
```

Largest 10 diffraction maxima, sorted by position, 15° ≤ 2θ ≤ 90°:
hkl 1 1 -2, 33.00 deg, rel. 100.0; hkl 7 1 -2, 47.10 deg, rel. 33.7; hkl 0 2 0, 47.62 deg, rel. 34.0; hkl 8 0 -4, 58.25 deg, rel. 5.4; hkl 6 2 0, 59.15 deg, rel. 16.9; hkl 2 2 -4, 69.26 deg, rel. 6.8; hkl 8 2 -4, 78.42 deg, rel. 8.7; hkl 1 3 -2, 79.24 deg, rel. 13.9; hkl 7 3 -2, 88.33 deg, rel. 7.0; hkl 5 3 2, 88.73 deg, rel. 5.4

***

# 8
Theoretical X-ray powder pattern
Compound: U3O8
Radiation: Cu Kα, 1.54184 Å
Structure: the GGA-PBE geometry in Alexandria
Intensities are scaled so that the largest is 100.

```
data_U3O8
_cell_length_a 6.8390
_cell_length_b 6.8390
_cell_length_c 4.1603
_cell_angle_alpha 90.00
_cell_angle_beta 90.00
_cell_angle_gamma 120.00
_space_group_name_H-M_alt 'P -6 2 m'
_space_group_IT_number 189
_space_group_name_Hall 'P -6 -2'
loop_
_atom_site_label
_atom_site_type_symbol
_atom_site_fract_x
_atom_site_fract_y
_atom_site_fract_z
U1 U 0.0000 0.3510 0.0000
O1 O 0.0000 0.3574 0.5000
O2 O 0.0000 0.7482 0.0000
O3 O 0.3333 0.6667 0.0000
```

Largest 10 diffraction maxima, sorted by position, 15° ≤ 2θ ≤ 90°:
hkl 0 0 1, 21.36 deg, rel. 58.8; hkl 1 1 0, 26.06 deg, rel. 100.0; hkl 1 1 1, 33.94 deg, rel. 75.2; hkl 3 0 0, 45.98 deg, rel. 29.7; hkl 3 0 1, 51.22 deg, rel. 30.7; hkl 1 1 2, 51.42 deg, rel. 32.4; hkl 2 2 0, 53.60 deg, rel. 14.2; hkl 2 2 1, 58.35 deg, rel. 17.7; hkl 3 0 2, 65.14 deg, rel. 18.7; hkl 4 1 1, 77.31 deg, rel. 15.1